(1)
The following is a computed X-ray powder pattern of Hg2BrClO. It was derived from the PBE geometry in Alexandria, using Cu Kα (λ = 1.5418 Å).
Peak positions follow from Bragg's law for the DFT cell and can differ from measured ones.

Top 10 peaks for 5 to 70 degrees two-theta, in order of rising 2θ:
| Position (°2θ) | I_rel |
| --- | --- |
| 9.98 | 1000 |
| 11.44 | 261 |
| 25.20 | 497 |
| 26.48 | 693 |
| 31.58 | 251 |
| 33.08 | 417 |
| 33.92 | 396 |
| 40.69 | 297 |
| 46.04 | 204 |
| 54.51 | 174 |

Atomic structure:
a b c (Å): 9.572 9.572 8.174
angles (deg): 108.44 108.44 23.90
Sites, in units of the cell vectors:
Hg: 0.050 0.050 0.339
Hg: 0.409 0.409 0.025
Hg: 0.591 0.591 0.975
Hg: 0.950 0.950 0.661
Br: 0.182 0.182 0.148
Br: 0.818 0.818 0.852
Cl: 0.108 0.108 0.662
Cl: 0.892 0.892 0.338
O: 0.474 0.474 0.799
O: 0.526 0.526 0.201

(2)
The following is a computed X-ray powder pattern of Hg4BrCl2O. It was derived from the PBE geometry in Alexandria, using Cu Kα (λ = 1.5418 Å).
Peak positions follow from Bragg's law for the DFT cell and can differ from measured ones.

Top 10 peaks for 5 to 70 degrees two-theta, in order of rising 2θ:
| Position (°2θ) | I_rel |
| --- | --- |
| 15.27 | 514 |
| 15.85 | 746 |
| 16.36 | 800 |
| 22.66 | 566 |
| 22.80 | 552 |
| 25.69 | 728 |
| 26.64 | 1000 |
| 27.32 | 611 |
| 32.57 | 522 |
| 33.07 | 744 |

Atomic structure:
a b c (Å): 6.616 6.708 7.123
angles (deg): 93.09 109.01 117.02
Sites, in units of the cell vectors:
Hg: 0.000 0.000 0.000
Hg: 0.025 0.629 0.595
Hg: 0.502 0.237 0.846
Hg: 0.973 0.997 0.373
Br: 0.651 0.226 0.375
Cl: 0.445 0.640 0.719
Cl: 0.938 0.466 0.975
O: 0.122 0.997 0.734

(3)
The following is a computed X-ray powder pattern of Hg6P2Br2Cl. It was derived from the PBE geometry in Alexandria, using Cu Kα (λ = 1.5418 Å).
Peak positions follow from Bragg's law for the DFT cell and can differ from measured ones.

Top 10 peaks for 5 to 70 degrees two-theta, in order of rising 2θ:
| Position (°2θ) | I_rel |
| --- | --- |
| 11.71 | 249 |
| 13.67 | 209 |
| 17.77 | 195 |
| 20.23 | 1000 |
| 25.29 | 219 |
| 26.86 | 281 |
| 30.87 | 386 |
| 34.47 | 390 |
| 35.64 | 354 |
| 36.88 | 194 |

Atomic structure:
a b c (Å): 6.807 7.576 8.416
angles (deg): 69.02 75.00 89.49
Sites, in units of the cell vectors:
Hg: 0.121 0.165 0.123
Hg: 0.319 0.352 0.428
Hg: 0.341 0.735 0.386
Hg: 0.659 0.265 0.614
Hg: 0.681 0.648 0.572
Hg: 0.879 0.835 0.877
P: 0.160 0.037 0.420
P: 0.840 0.963 0.580
Br: 0.038 0.329 0.831
Br: 0.962 0.671 0.169
Cl: 0.500 0.000 0.000

(4)
The following is a computed X-ray powder pattern of Rb3Hg2Br2Cl5. It was derived from the PBE geometry in Alexandria, using Cu Kα (λ = 1.5418 Å).
Peak positions follow from Bragg's law for the DFT cell and can differ from measured ones.

Top 10 peaks for 5 to 70 degrees two-theta, in order of rising 2θ:
| Position (°2θ) | I_rel |
| --- | --- |
| 12.96 | 222 |
| 16.63 | 314 |
| 23.12 | 1000 |
| 28.15 | 203 |
| 32.95 | 506 |
| 33.82 | 189 |
| 40.62 | 185 |
| 47.17 | 223 |
| 47.29 | 178 |
| 53.28 | 177 |

Atomic structure:
a b c (Å): 14.190 14.190 14.190
angles (deg): 157.91 157.91 31.44
Sites, in units of the cell vectors:
Rb: 0.000 0.000 0.000
Rb: 0.173 0.173 0.000
Rb: 0.827 0.827 0.000
Hg: 0.401 0.401 0.000
Hg: 0.599 0.599 0.000
Br: 0.302 0.302 0.000
Br: 0.698 0.698 0.000
Cl: 0.093 0.593 0.500
Cl: 0.407 0.907 0.500
Cl: 0.500 0.500 0.000
Cl: 0.593 0.093 0.500
Cl: 0.907 0.407 0.500

(5)
The following is a computed X-ray powder pattern of Hg6S4Br3Cl. It was derived from the PBE geometry in Alexandria, using Cu Kα (λ = 1.5418 Å).
Peak positions follow from Bragg's law for the DFT cell and can differ from measured ones.

Top 10 peaks for 5 to 70 degrees two-theta, in order of rising 2θ:
| Position (°2θ) | I_rel |
| --- | --- |
| 9.36 | 353 |
| 23.93 | 329 |
| 28.33 | 490 |
| 28.53 | 351 |
| 28.68 | 371 |
| 32.94 | 1000 |
| 33.20 | 908 |
| 38.09 | 358 |
| 38.27 | 533 |
| 38.75 | 441 |

Atomic structure:
a b c (Å): 10.418 10.418 10.579
angles (deg): 113.65 113.65 53.69
Sites, in units of the cell vectors:
Hg: 0.074 0.074 0.224
Hg: 0.133 0.605 0.496
Hg: 0.195 0.656 0.205
Hg: 0.218 0.218 0.789
Hg: 0.344 0.805 0.795
Hg: 0.395 0.867 0.504
Hg: 0.605 0.133 0.496
Hg: 0.656 0.195 0.205
Hg: 0.782 0.782 0.211
Hg: 0.805 0.344 0.795
Hg: 0.867 0.395 0.504
Hg: 0.926 0.926 0.776
S: 0.061 0.546 0.238
S: 0.192 0.674 0.753
S: 0.326 0.808 0.247
S: 0.454 0.939 0.762
S: 0.546 0.061 0.238
S: 0.674 0.192 0.753
S: 0.808 0.326 0.247
S: 0.939 0.454 0.762
Br: 0.000 0.000 0.500
Br: 0.119 0.119 0.990
Br: 0.249 0.249 0.502
Br: 0.500 0.500 0.500
Br: 0.751 0.751 0.498
Br: 0.881 0.881 0.010
Cl: 0.375 0.375 0.013
Cl: 0.625 0.625 0.987

(6)
The following is a computed X-ray powder pattern of I5Br2Cl2. It was derived from the PBE geometry in Alexandria, using Cu Kα (λ = 1.5418 Å).
Peak positions follow from Bragg's law for the DFT cell and can differ from measured ones.

Top 10 peaks for 5 to 70 degrees two-theta, in order of rising 2θ:
| Position (°2θ) | I_rel |
| --- | --- |
| 13.83 | 163 |
| 19.05 | 1000 |
| 23.70 | 413 |
| 30.58 | 456 |
| 31.95 | 377 |
| 38.65 | 158 |
| 39.70 | 161 |
| 40.63 | 143 |
| 42.35 | 170 |
| 45.84 | 139 |

Atomic structure:
a b c (Å): 7.485 7.485 9.498
angles (deg): 110.71 110.71 76.99
Sites, in units of the cell vectors:
I: 0.000 0.000 0.000
I: 0.204 0.204 0.517
I: 0.437 0.437 0.089
I: 0.563 0.563 0.911
I: 0.796 0.796 0.483
Br: 0.139 0.139 0.739
Br: 0.861 0.861 0.261
Cl: 0.230 0.230 0.227
Cl: 0.770 0.770 0.773

(7)
The following is a computed X-ray powder pattern of I2Br3Cl4. It was derived from the PBE geometry in Alexandria, using Cu Kα (λ = 1.5418 Å).
Peak positions follow from Bragg's law for the DFT cell and can differ from measured ones.

Top 10 peaks for 5 to 70 degrees two-theta, in order of rising 2θ:
| Position (°2θ) | I_rel |
| --- | --- |
| 7.01 | 1000 |
| 10.87 | 114 |
| 15.88 | 78 |
| 16.93 | 84 |
| 18.79 | 396 |
| 19.87 | 116 |
| 29.00 | 109 |
| 31.96 | 87 |
| 35.57 | 85 |
| 35.77 | 85 |

Atomic structure:
a b c (Å): 13.091 13.091 5.828
angles (deg): 100.34 100.34 99.31
Sites, in units of the cell vectors:
I: 0.010 0.278 0.049
I: 0.278 0.010 0.549
I: 0.722 0.990 0.451
I: 0.990 0.722 0.951
Br: 0.070 0.930 0.250
Br: 0.212 0.222 0.057
Br: 0.222 0.212 0.557
Br: 0.778 0.788 0.443
Br: 0.788 0.778 0.943
Br: 0.930 0.070 0.750
Cl: 0.098 0.447 0.309
Cl: 0.164 0.683 0.951
Cl: 0.317 0.836 0.549
Cl: 0.447 0.098 0.809
Cl: 0.553 0.902 0.191
Cl: 0.683 0.164 0.451
Cl: 0.836 0.317 0.049
Cl: 0.902 0.553 0.691

(8)
The following is a computed X-ray powder pattern of I8BrCl6. It was derived from the PBE geometry in Alexandria, using Cu Kα (λ = 1.5418 Å).
Peak positions follow from Bragg's law for the DFT cell and can differ from measured ones.

Top 10 peaks for 5 to 70 degrees two-theta, in order of rising 2θ:
| Position (°2θ) | I_rel |
| --- | --- |
| 9.63 | 1000 |
| 14.42 | 339 |
| 18.47 | 660 |
| 20.13 | 381 |
| 20.48 | 305 |
| 21.87 | 651 |
| 22.23 | 295 |
| 22.36 | 263 |
| 29.17 | 253 |
| 31.33 | 281 |

Atomic structure:
a b c (Å): 9.185 9.190 9.661
angles (deg): 87.62 63.95 88.66
Sites, in units of the cell vectors:
I: 0.109 0.370 0.178
I: 0.274 0.164 0.593
I: 0.324 0.626 0.031
I: 0.347 0.490 0.499
I: 0.653 0.510 0.501
I: 0.676 0.374 0.969
I: 0.726 0.836 0.407
I: 0.891 0.630 0.822
Br: 0.000 0.500 0.500
Cl: 0.171 0.269 0.928
Cl: 0.210 0.909 0.659
Cl: 0.497 0.171 0.101
Cl: 0.503 0.829 0.899
Cl: 0.790 0.091 0.341
Cl: 0.829 0.731 0.072

(9)
The following is a computed X-ray powder pattern of IBrCl. It was derived from the PBE geometry in Alexandria, using Cu Kα (λ = 1.5418 Å).
Peak positions follow from Bragg's law for the DFT cell and can differ from measured ones.

Top 10 peaks for 5 to 70 degrees two-theta, in order of rising 2θ:
| Position (°2θ) | I_rel |
| --- | --- |
| 16.02 | 626 |
| 17.07 | 1000 |
| 18.83 | 391 |
| 20.03 | 266 |
| 25.65 | 489 |
| 27.98 | 468 |
| 30.52 | 363 |
| 33.16 | 336 |
| 39.63 | 307 |
| 40.71 | 313 |

Atomic structure:
a b c (Å): 5.299 6.988 7.791
angles (deg): 79.93 84.52 79.16
Sites, in units of the cell vectors:
I: 0.000 0.000 0.000
I: 0.164 0.688 0.547
Br: 0.070 0.327 0.782
Br: 0.979 0.586 0.285
Cl: 0.371 0.794 0.813
Cl: 0.664 0.169 0.181

(10)
The following is a computed X-ray powder pattern of I4BrCl2. It was derived from the PBE geometry in Alexandria, using Cu Kα (λ = 1.5418 Å).
Peak positions follow from Bragg's law for the DFT cell and can differ from measured ones.

Top 10 peaks for 5 to 70 degrees two-theta, in order of rising 2θ:
| Position (°2θ) | I_rel |
| --- | --- |
| 10.60 | 1000 |
| 11.88 | 462 |
| 13.28 | 714 |
| 13.76 | 488 |
| 19.76 | 401 |
| 21.59 | 514 |
| 23.39 | 385 |
| 24.24 | 416 |
| 25.23 | 373 |
| 35.82 | 401 |

Atomic structure:
a b c (Å): 8.170 8.170 8.771
angles (deg): 100.24 100.24 109.39
Sites, in units of the cell vectors:
I: 0.000 0.000 0.000
I: 0.380 0.584 0.092
I: 0.584 0.380 0.092
I: 0.703 0.703 0.736
Br: 0.449 0.449 0.514
Cl: 0.204 0.823 0.989
Cl: 0.823 0.204 0.989

(11)
The following is a computed X-ray powder pattern of I2Br3Cl5. It was derived from the PBE geometry in Alexandria, using Cu Kα (λ = 1.5418 Å).
Peak positions follow from Bragg's law for the DFT cell and can differ from measured ones.

Top 10 peaks for 5 to 70 degrees two-theta, in order of rising 2θ:
| Position (°2θ) | I_rel |
| --- | --- |
| 9.99 | 395 |
| 12.84 | 169 |
| 15.47 | 211 |
| 17.47 | 275 |
| 20.25 | 151 |
| 20.62 | 1000 |
| 23.18 | 191 |
| 33.36 | 130 |
| 34.83 | 177 |
| 35.37 | 171 |

Atomic structure:
a b c (Å): 9.020 9.050 11.155
angles (deg): 99.69 93.36 99.81
Sites, in units of the cell vectors:
I: 0.112 0.219 0.128
I: 0.169 0.303 0.640
I: 0.831 0.697 0.360
I: 0.888 0.781 0.872
Br: 0.017 0.961 0.731
Br: 0.144 0.673 0.348
Br: 0.433 0.185 0.140
Br: 0.567 0.815 0.860
Br: 0.856 0.327 0.652
Br: 0.983 0.039 0.269
Cl: 0.109 0.693 0.938
Cl: 0.175 0.486 0.492
Cl: 0.307 0.374 0.011
Cl: 0.431 0.274 0.634
Cl: 0.498 0.982 0.754
Cl: 0.502 0.018 0.246
Cl: 0.569 0.726 0.366
Cl: 0.693 0.626 0.989
Cl: 0.825 0.514 0.508
Cl: 0.891 0.307 0.062

(12)
The following is a computed X-ray powder pattern of IBrCl2. It was derived from the PBE geometry in Alexandria, using Cu Kα (λ = 1.5418 Å).
Peak positions follow from Bragg's law for the DFT cell and can differ from measured ones.

Top 10 peaks for 5 to 70 degrees two-theta, in order of rising 2θ:
| Position (°2θ) | I_rel |
| --- | --- |
| 9.61 | 1000 |
| 16.42 | 386 |
| 17.65 | 456 |
| 21.18 | 596 |
| 21.30 | 312 |
| 24.09 | 312 |
| 26.80 | 196 |
| 29.11 | 219 |
| 36.19 | 355 |
| 36.77 | 191 |

Atomic structure:
a b c (Å): 5.432 6.668 18.526
angles (deg): 89.99 83.40 89.95
Sites, in units of the cell vectors:
I: 0.067 0.123 0.169
I: 0.432 0.623 0.330
I: 0.568 0.377 0.670
I: 0.933 0.877 0.831
Br: 0.108 0.954 0.309
Br: 0.391 0.454 0.191
Br: 0.609 0.546 0.809
Br: 0.892 0.046 0.691
Cl: 0.012 0.284 0.056
Cl: 0.206 0.150 0.855
Cl: 0.295 0.650 0.645
Cl: 0.486 0.784 0.444
Cl: 0.514 0.216 0.556
Cl: 0.705 0.350 0.355
Cl: 0.794 0.850 0.145
Cl: 0.988 0.716 0.944

(13)
The following is a computed X-ray powder pattern of IBrCl5. It was derived from the PBE geometry in Alexandria, using Cu Kα (λ = 1.5418 Å).
Peak positions follow from Bragg's law for the DFT cell and can differ from measured ones.

Top 10 peaks for 5 to 70 degrees two-theta, in order of rising 2θ:
| Position (°2θ) | I_rel |
| --- | --- |
| 10.49 | 336 |
| 13.36 | 548 |
| 16.22 | 1000 |
| 17.52 | 491 |
| 21.07 | 426 |
| 23.07 | 329 |
| 24.82 | 199 |
| 25.86 | 459 |
| 32.93 | 368 |
| 36.14 | 199 |

Atomic structure:
a b c (Å): 7.898 8.605 8.615
angles (deg): 100.63 94.17 94.04
Sites, in units of the cell vectors:
I: 0.000 0.000 0.000
I: 0.500 0.157 0.844
Br: 0.250 0.590 0.410
Br: 0.751 0.590 0.410
Cl: 0.001 0.485 0.514
Cl: 0.058 0.721 0.984
Cl: 0.066 0.982 0.721
Cl: 0.324 0.103 0.098
Cl: 0.340 0.375 0.818
Cl: 0.500 0.695 0.306
Cl: 0.659 0.185 0.626
Cl: 0.676 0.902 0.896
Cl: 0.934 0.279 0.020
Cl: 0.943 0.015 0.279